K17Na11Cd: theoretical PXRD pattern (Cu Kα X-rays), based on a structure optimized by DFT (PBE).
Peak positions follow from Bragg's law for the DFT cell and can differ from measured ones.

The 10 most intense peaks (15° ≤ 2θ ≤ 90°), in order of rising 2θ:
| 2θ (°) | I (rel.) | index |
| --- | --- | --- |
| 24.2 | 21 | 0 4 2 |
| 25.1 | 100 | 3 3 0 |
| 25.8 | 86 | 4 2 -2 |
| 26.2 | 78 | 1 5 -2 |
| 26.3 | 31 | 0 6 0 |
| 28.6 | 59 | 3 5 -1 |
| 29.0 | 25 | 3 1 -4 |
| 30.7 | 16 | 4 4 -1 |
| 44.4 | 20 | 2 6 3 |
| 45.1 | 34 | 7 3 -3 |

Cell and atoms:
abc: 14.722 20.356 12.561
angles: 90.00 122.13 90.00
Space group Cm (No. 8)
Inequivalent atoms, fractional coordinates:
K  0.000  0.000  0.000 (multiplicity 2)
K  0.003  0.000  0.402 (multiplicity 2)
K  0.011  0.326  0.689 (multiplicity 4)
K  0.029  0.333  0.111 (multiplicity 4)
K  0.159  0.135  0.302 (multiplicity 4)
K  0.179  0.500  0.683 (multiplicity 2)
K  0.193  0.201  0.993 (multiplicity 4)
K  0.195  0.500  0.337 (multiplicity 2)
K  0.240  0.124  0.692 (multiplicity 4)
K  0.292  0.000  0.006 (multiplicity 2)
K  0.402  0.294  0.365 (multiplicity 4)
Na  0.008  0.500  0.868 (multiplicity 2)
Na  0.200  0.314  0.515 (multiplicity 4)
Na  0.272  0.409  0.051 (multiplicity 4)
Na  0.362  0.317  0.865 (multiplicity 4)
Na  0.436  0.087  0.358 (multiplicity 4)
Na  0.456  0.409  0.680 (multiplicity 4)
Cd  0.354  0.000  0.538 (multiplicity 2)